[1]
The following is a computed powder diffraction line list of TbBe4Pd8. It was derived from a GGA-PBE-relaxed structure, using Cu Kα X-rays.

Principal peaks in the range 2θ = 10–80°, in order of rising 2θ:
2θ/deg, I_rel
21.02, 30
29.90, 39
35.12, 65
36.41, 53
42.42, 100
42.79, 34
46.78, 27
78.12, 34

Crystal structure
Lattice parameters (Å, degrees): 6.500 6.500 6.500 98.89 98.89 133.71
Fractional positions:
1 Tb 0.000 0.000 0.000
2 Be 0.000 0.000 0.500
3 Be 0.000 0.500 0.000
4 Be 0.500 0.000 0.000
5 Be 0.500 0.500 0.500
6 Pd 0.000 0.334 0.334
7 Pd 0.000 0.666 0.666
8 Pd 0.275 0.500 0.775
9 Pd 0.334 0.000 0.334
10 Pd 0.500 0.275 0.775
11 Pd 0.500 0.725 0.225
12 Pd 0.666 0.000 0.666
13 Pd 0.725 0.500 0.225

=====

[2]
The following is a computed powder diffraction line list of Dy11Zn4Hg9. It was derived from a GGA-PBE-relaxed structure, using Cu Kα X-rays.

Principal peaks in the range 2θ = 10–80°, in order of rising 2θ:
2θ/deg, I_rel
32.22, 25
34.50, 99
34.53, 93
35.11, 100
48.71, 28
61.45, 40
62.61, 36
72.78, 19

Crystal structure
Lattice parameters (Å, degrees): 13.028 13.028 3.739 90.00 90.00 112.52
Fractional positions:
1 Dy 0.000 0.000 0.000
2 Dy 0.076 0.414 0.000
3 Dy 0.168 0.832 0.000
4 Dy 0.283 0.283 0.000
5 Dy 0.362 0.638 0.000
6 Dy 0.414 0.076 0.000
7 Dy 0.586 0.924 0.000
8 Dy 0.638 0.362 0.000
9 Dy 0.717 0.717 0.000
10 Dy 0.832 0.168 0.000
11 Dy 0.924 0.586 0.000
12 Zn 0.262 0.450 0.500
13 Zn 0.450 0.262 0.500
14 Zn 0.550 0.738 0.500
15 Zn 0.738 0.550 0.500
16 Hg 0.060 0.212 0.500
17 Hg 0.152 0.628 0.500
18 Hg 0.212 0.060 0.500
19 Hg 0.372 0.848 0.500
20 Hg 0.500 0.500 0.500
21 Hg 0.628 0.152 0.500
22 Hg 0.788 0.940 0.500
23 Hg 0.848 0.372 0.500
24 Hg 0.940 0.788 0.500

=====

[3]
The following is a computed powder diffraction line list of RbNa3Tl3. It was derived from a GGA-PBE-relaxed structure, using Cu Kα X-rays.

Principal peaks in the range 2θ = 10–80°, in order of rising 2θ:
2θ/deg, I_rel
11.38, 100
22.26, 17
27.70, 36
30.86, 39
31.58, 24
35.58, 15
36.76, 18
42.09, 14

Crystal structure
Lattice parameters (Å, degrees): 9.326 9.326 9.326 57.15 57.15 57.15
Fractional positions:
1 Rb 0.106 0.106 0.106
2 Rb 0.894 0.894 0.894
3 Na 0.160 0.572 0.572
4 Na 0.428 0.428 0.840
5 Na 0.428 0.840 0.428
6 Na 0.572 0.160 0.572
7 Na 0.572 0.572 0.160
8 Na 0.840 0.428 0.428
9 Tl 0.195 0.195 0.565
10 Tl 0.195 0.565 0.195
11 Tl 0.435 0.805 0.805
12 Tl 0.565 0.195 0.195
13 Tl 0.805 0.435 0.805
14 Tl 0.805 0.805 0.435

=====

[4]
The following is a computed powder diffraction line list of PaTi2Tl3S6. It was derived from a GGA-PBE-relaxed structure, using Cu Kα X-rays.

Principal peaks in the range 2θ = 10–80°, in order of rising 2θ:
2θ/deg, I_rel
21.68, 38
28.33, 64
30.40, 20
35.96, 100
50.16, 24
53.33, 30
55.25, 20
63.25, 19

Crystal structure
Lattice parameters (Å, degrees): 6.300 6.300 8.198 90.00 90.00 120.00
Fractional positions:
1 Pa 0.000 0.000 0.000
2 Ti 0.333 0.667 0.000
3 Ti 0.667 0.333 0.000
4 Tl 0.000 0.000 0.500
5 Tl 0.333 0.667 0.500
6 Tl 0.667 0.333 0.500
7 S 0.000 0.352 0.178
8 S 0.000 0.648 0.822
9 S 0.352 0.000 0.178
10 S 0.352 0.352 0.822
11 S 0.648 0.000 0.822
12 S 0.648 0.648 0.178

=====

[5]
The following is a computed powder diffraction line list of Ce4DySe7. It was derived from a GGA-PBE-relaxed structure, using Cu Kα X-rays.

Principal peaks in the range 2θ = 10–80°, in order of rising 2θ:
2θ/deg, I_rel
22.42, 74
22.81, 62
29.26, 74
30.78, 100
31.90, 68
42.76, 54
43.97, 56
44.21, 58

Crystal structure
Lattice parameters (Å, degrees): 7.203 7.203 12.388 104.50 104.50 33.04
Fractional positions:
1 Ce 0.000 0.000 0.000
2 Ce 0.189 0.189 0.766
3 Ce 0.586 0.586 0.381
4 Ce 0.887 0.887 0.571
5 Dy 0.771 0.771 0.150
6 Se 0.154 0.154 0.223
7 Se 0.227 0.227 0.522
8 Se 0.380 0.380 0.074
9 Se 0.546 0.546 0.625
10 Se 0.628 0.628 0.929
11 Se 0.848 0.848 0.789
12 Se 0.925 0.925 0.352

=====

[6]
The following is a computed powder diffraction line list of LiSc2Ag2O4. It was derived from a GGA-PBE-relaxed structure, using Cu Kα X-rays.

Principal peaks in the range 2θ = 10–80°, in order of rising 2θ:
2θ/deg, I_rel
12.32, 33
24.79, 36
31.13, 16
33.18, 100
34.94, 58
37.70, 26
50.61, 15
58.12, 27

Crystal structure
Lattice parameters (Å, degrees): 3.174 3.174 14.367 90.21 90.21 60.03
Fractional positions:
1 Li 0.000 0.000 0.000
2 Sc 0.667 0.667 0.166
3 Sc 0.672 0.672 0.606
4 Ag 0.003 0.003 0.384
5 Ag 0.338 0.338 0.834
6 O 0.001 0.001 0.234
7 O 0.004 0.004 0.528
8 O 0.333 0.333 0.082
9 O 0.339 0.339 0.676